1.
Calculated powder diffraction line list of Pr3CuO5 for Cu Ka, from a structure optimized by DFT (GGA-PBE).
No peak broadening, texture or thermal motion is included.

Largest 10 diffraction maxima, sorted by position, 2θ from 15° to 90°:
| d/Å | I (rel.) |
| --- | --- |
| 3.631 | 28 |
| 2.888 | 64 |
| 2.878 | 100 |
| 2.839 | 47 |
| 2.361 | 26 |
| 2.345 | 72 |
| 2.112 | 29 |
| 1.808 | 26 |
| 1.647 | 21 |
| 1.602 | 31 |

Structural model:
Cell lengths 7.3850, 7.3850, 7.3850 Å; angles 126.24, 126.24, 79.49 degrees
Sites, in units of the cell vectors:
1 Pr 0.1637 0.6637 0.8275
2 Pr 0.2500 0.2500 0.0000
3 Pr 0.3363 0.1637 0.5000
4 Pr 0.6637 0.8363 0.5000
5 Pr 0.7500 0.7500 0.0000
6 Pr 0.8363 0.3363 0.1725
7 Cu 0.2500 0.7500 0.5000
8 Cu 0.7500 0.2500 0.5000
9 O 0.0000 0.0000 0.0000
10 O 0.0248 0.1991 0.5000
11 O 0.1991 0.6991 0.1743
12 O 0.3009 0.4752 0.5000
13 O 0.4752 0.9752 0.1743
14 O 0.5000 0.5000 0.0000
15 O 0.5248 0.0248 0.8257
16 O 0.6991 0.5248 0.5000
17 O 0.8009 0.3009 0.8257
18 O 0.9752 0.8009 0.5000

***

2.
Calculated powder diffraction line list of PrCu6O8 for Cu Ka, from a structure optimized by DFT (GGA-PBE).
No peak broadening, texture or thermal motion is included.

Largest 10 diffraction maxima, sorted by position, 2θ from 15° to 90°:
| d/Å | I (rel.) |
| --- | --- |
| 5.574 | 33 |
| 3.218 | 26 |
| 2.493 | 100 |
| 2.276 | 65 |
| 1.858 | 11 |
| 1.609 | 12 |
| 1.546 | 26 |
| 1.490 | 34 |
| 1.393 | 17 |
| 1.216 | 17 |

Structural model:
Cell lengths 5.5740, 5.5740, 5.5740 Å; angles 90.00, 90.00, 90.00 degrees
Sites, in units of the cell vectors:
1 Pr 0.0000 0.0000 0.0000
2 Cu 0.0000 0.2678 0.5000
3 Cu 0.0000 0.7322 0.5000
4 Cu 0.2678 0.5000 0.0000
5 Cu 0.5000 0.0000 0.2678
6 Cu 0.5000 0.0000 0.7322
7 Cu 0.7322 0.5000 0.0000
8 O 0.2503 0.2503 0.2503
9 O 0.2503 0.2503 0.7497
10 O 0.2503 0.7497 0.2503
11 O 0.2503 0.7497 0.7497
12 O 0.7497 0.2503 0.2503
13 O 0.7497 0.2503 0.7497
14 O 0.7497 0.7497 0.2503
15 O 0.7497 0.7497 0.7497

***

3.
Calculated powder diffraction line list of Rb2PrCu2O4 for Cu Ka, from a structure optimized by DFT (GGA-PBE).
No peak broadening, texture or thermal motion is included.

Largest 10 diffraction maxima, sorted by position, 2θ from 15° to 90°:
| d/Å | I (rel.) |
| --- | --- |
| 3.464 | 46 |
| 3.350 | 35 |
| 3.200 | 79 |
| 2.744 | 100 |
| 2.604 | 38 |
| 2.451 | 48 |
| 2.380 | 86 |
| 2.330 | 37 |
| 2.174 | 40 |
| 1.551 | 29 |

Structural model:
Cell lengths 7.0851, 7.0851, 6.7192 Å; angles 107.14, 107.14, 29.38 degrees
Sites, in units of the cell vectors:
1 Rb 0.1314 0.1314 0.0593
2 Rb 0.8686 0.8686 0.9407
3 Pr 0.0000 0.0000 0.5000
4 Cu 0.3199 0.3199 0.4853
5 Cu 0.6801 0.6801 0.5147
6 O 0.1935 0.1935 0.6451
7 O 0.4668 0.4668 0.7097
8 O 0.5332 0.5332 0.2903
9 O 0.8065 0.8065 0.3549

***

4.
Calculated powder diffraction line list of Sr6Pr3Cu6O17 for Cu Ka, from a structure optimized by DFT (GGA-PBE).
No peak broadening, texture or thermal motion is included.

Largest 10 diffraction maxima, sorted by position, 2θ from 15° to 90°:
| d/Å | I (rel.) |
| --- | --- |
| 2.804 | 75 |
| 2.770 | 86 |
| 2.702 | 100 |
| 2.114 | 21 |
| 2.037 | 21 |
| 1.933 | 17 |
| 1.889 | 26 |
| 1.626 | 25 |
| 1.585 | 18 |
| 1.567 | 27 |

Structural model:
Cell lengths 11.8696, 11.8696, 11.8696 Å; angles 121.51, 61.84, 161.68 degrees
Sites, in units of the cell vectors:
1 Sr 0.1695 0.3126 0.5002
2 Sr 0.1695 0.6693 0.8569
3 Sr 0.1977 0.0000 0.1977
4 Sr 0.8023 0.0000 0.8023
5 Sr 0.8124 0.3126 0.1431
6 Sr 0.8124 0.6693 0.4998
7 Pr 0.0131 0.3090 0.2958
8 Pr 0.0131 0.7173 0.7042
9 Pr 0.9956 0.9956 0.0000
10 Cu 0.3686 0.9545 0.4141
11 Cu 0.3961 0.3521 0.7508
12 Cu 0.3961 0.6453 0.0440
13 Cu 0.5405 0.9545 0.5859
14 Cu 0.6013 0.3521 0.9560
15 Cu 0.6013 0.6453 0.2492
16 O 0.0913 0.1398 0.2340
17 O 0.0913 0.8574 0.9515
18 O 0.2220 0.7220 0.5000
19 O 0.2987 0.3428 0.6414
20 O 0.2987 0.6573 0.9559
21 O 0.3406 0.0202 0.3203
22 O 0.4167 0.1591 0.5799
23 O 0.4167 0.8367 0.2576
24 O 0.4963 0.3589 0.8626
25 O 0.4963 0.6337 0.1374
26 O 0.5792 0.1591 0.7424
27 O 0.5792 0.8367 0.4201
28 O 0.6999 0.0202 0.6797
29 O 0.7014 0.3428 0.0441
30 O 0.7014 0.6573 0.3586
31 O 0.9058 0.1398 0.0485
32 O 0.9058 0.8574 0.7660

***

5.
Calculated powder diffraction line list of Sr2Pr2Tl2Cu3O10 for Cu Ka, from a structure optimized by DFT (GGA-PBE).
No peak broadening, texture or thermal motion is included.

Largest 10 diffraction maxima, sorted by position, 2θ from 15° to 90°:
| d/Å | I (rel.) |
| --- | --- |
| 3.738 | 7 |
| 3.447 | 9 |
| 3.115 | 13 |
| 2.789 | 100 |
| 2.032 | 7 |
| 1.969 | 22 |
| 1.740 | 8 |
| 1.609 | 22 |
| 1.558 | 8 |
| 1.246 | 12 |

Structural model:
Cell lengths 18.0411, 18.0411, 18.0411 Å; angles 167.47, 167.47, 17.76 degrees
Sites, in units of the cell vectors:
1 Sr 0.1473 0.1473 0.0000
2 Sr 0.8527 0.8527 0.0000
3 Pr 0.0491 0.0491 0.0000
4 Pr 0.9509 0.9509 0.0000
5 Tl 0.2813 0.2813 0.0000
6 Tl 0.7187 0.7187 0.0000
7 Cu 0.4051 0.4051 0.0000
8 Cu 0.5000 0.5000 0.0000
9 Cu 0.5949 0.5949 0.0000
10 O 0.0000 0.5000 0.5000
11 O 0.0899 0.5899 0.5000
12 O 0.2194 0.2194 0.0000
13 O 0.3421 0.3421 0.0000
14 O 0.4101 0.9101 0.5000
15 O 0.5000 0.0000 0.5000
16 O 0.5899 0.0899 0.5000
17 O 0.6579 0.6579 0.0000
18 O 0.7806 0.7806 0.0000
19 O 0.9101 0.4101 0.5000